(1)
Theoretical X-ray diffraction stick pattern of CaTe4H4O6F8 for copper Kα, from the GGA-PBE geometry in the Materials Project.

The 10 most intense peaks (2θ = 10–90°), sorted by position:
| Position (°2θ) | I_rel |
| --- | --- |
| 17.37 | 31 |
| 17.66 | 42 |
| 18.75 | 23 |
| 20.35 | 19 |
| 21.10 | 20 |
| 21.58 | 100 |
| 21.88 | 24 |
| 22.12 | 52 |
| 26.63 | 26 |
| 27.04 | 24 |

Cell and atoms:
```
data_CaTe4H4O6F8
_cell_length_a 5.582
_cell_length_b 6.246
_cell_length_c 11.649
_cell_angle_alpha 84.32
_cell_angle_beta 77.94
_cell_angle_gamma 68.57
_space_group_name_H-M_alt 'P 1'
_space_group_IT_number 1
loop_
_space_group_symop_operation_xyz
'x,y,z'
loop_
_atom_site_label
_atom_site_fract_x
_atom_site_fract_y
_atom_site_fract_z
Ca1 0.000 0.000 0.000
Te1 0.247 0.427 0.801
Te2 0.527 0.898 0.164
Te3 0.556 0.926 0.625
Te4 0.655 0.420 0.366
H1 0.299 0.434 0.005
H2 0.857 0.799 0.835
H3 0.915 0.416 0.513
H4 0.954 0.905 0.475
O1 0.308 0.306 0.960
O2 0.555 0.097 0.752
O3 0.738 0.519 0.502
O4 0.752 0.614 0.231
O5 0.775 0.020 0.491
O6 0.981 0.722 0.889
F1 0.038 0.262 0.329
F2 0.283 0.216 0.571
F3 0.313 0.739 0.086
F4 0.322 0.695 0.414
F5 0.506 0.576 0.804
F6 0.754 0.114 0.183
F7 0.910 0.719 0.658
F8 0.992 0.236 0.846
```

(2)
Theoretical X-ray diffraction stick pattern of CaTiH6O2F6 for copper Kα, from the GGA-PBE geometry in the Materials Project.

The 10 most intense peaks (2θ = 10–90°), sorted by position:
| Position (°2θ) | I_rel |
| --- | --- |
| 16.20 | 100 |
| 21.46 | 13 |
| 28.24 | 32 |
| 32.69 | 13 |
| 40.33 | 21 |
| 43.74 | 31 |
| 49.99 | 8 |
| 52.87 | 30 |
| 60.99 | 9 |
| 68.57 | 7 |

Cell and atoms:
```
data_CaTiH6O2F6
_cell_length_a 6.320
_cell_length_b 6.320
_cell_length_c 6.330
_cell_angle_alpha 90.00
_cell_angle_beta 90.00
_cell_angle_gamma 120.00
_space_group_name_H-M_alt 'P 1'
_space_group_IT_number 1
loop_
_space_group_symop_operation_xyz
'x,y,z'
loop_
_atom_site_label
_atom_site_fract_x
_atom_site_fract_y
_atom_site_fract_z
Ca1 0.000 0.000 0.000
Ti1 0.000 0.000 0.500
H1 0.191 0.493 0.744
H2 0.302 0.809 0.744
H3 0.493 0.191 0.256
H4 0.507 0.698 0.744
H5 0.698 0.507 0.256
H6 0.809 0.302 0.256
O1 0.333 0.667 0.780
O2 0.667 0.333 0.220
F1 0.003 0.247 0.735
F2 0.244 0.997 0.735
F3 0.247 0.003 0.265
F4 0.753 0.756 0.735
F5 0.756 0.753 0.265
F6 0.997 0.244 0.265
```

(3)
Theoretical X-ray diffraction stick pattern of CaTiH6O2F6 for copper Kα, from the GGA-PBE geometry in the Materials Project.

The 10 most intense peaks (2θ = 10–90°), sorted by position:
| Position (°2θ) | I_rel |
| --- | --- |
| 16.13 | 85 |
| 17.45 | 69 |
| 23.00 | 62 |
| 24.67 | 48 |
| 36.08 | 37 |
| 37.60 | 100 |
| 37.97 | 55 |
| 43.45 | 27 |
| 46.23 | 26 |
| 48.07 | 26 |

Cell and atoms:
```
data_CaTiH6O2F6
_cell_length_a 6.013
_cell_length_b 6.013
_cell_length_c 5.507
_cell_angle_alpha 93.37
_cell_angle_beta 93.37
_cell_angle_gamma 64.19
_space_group_name_H-M_alt 'P 1'
_space_group_IT_number 1
loop_
_space_group_symop_operation_xyz
'x,y,z'
loop_
_atom_site_label
_atom_site_fract_x
_atom_site_fract_y
_atom_site_fract_z
Ca1 0.000 0.000 0.000
Ti1 0.502 0.498 0.000
H1 0.080 0.201 0.535
H2 0.080 0.574 0.303
H3 0.194 0.321 0.732
H4 0.426 0.920 0.697
H5 0.679 0.806 0.268
H6 0.799 0.920 0.465
O1 0.175 0.166 0.691
O2 0.834 0.825 0.309
F1 0.169 0.626 0.804
F2 0.244 0.433 0.277
F3 0.374 0.831 0.196
F4 0.567 0.756 0.723
F5 0.666 0.189 0.769
F6 0.811 0.334 0.231
```

(4)
Theoretical X-ray diffraction stick pattern of CaTiH6O2F6 for copper Kα, from the GGA-PBE geometry in the Materials Project.

The 10 most intense peaks (2θ = 10–90°), sorted by position:
| Position (°2θ) | I_rel |
| --- | --- |
| 14.39 | 100 |
| 18.13 | 22 |
| 23.29 | 23 |
| 24.15 | 69 |
| 30.48 | 30 |
| 40.34 | 11 |
| 43.11 | 13 |
| 46.11 | 25 |
| 47.63 | 15 |
| 49.24 | 15 |

Cell and atoms:
```
data_CaTiH6O2F6
_cell_length_a 6.733
_cell_length_b 6.733
_cell_length_c 5.863
_cell_angle_alpha 94.81
_cell_angle_beta 94.81
_cell_angle_gamma 46.64
_space_group_name_H-M_alt 'P 1'
_space_group_IT_number 1
loop_
_space_group_symop_operation_xyz
'x,y,z'
loop_
_atom_site_label
_atom_site_fract_x
_atom_site_fract_y
_atom_site_fract_z
Ca1 0.000 0.000 0.000
Ti1 0.611 0.389 0.500
H1 0.140 0.567 0.251
H2 0.175 0.190 0.753
H3 0.433 0.860 0.749
H4 0.522 0.056 0.746
H5 0.810 0.825 0.247
H6 0.944 0.478 0.254
O1 0.386 0.036 0.789
O2 0.964 0.614 0.211
F1 0.308 0.656 0.254
F2 0.344 0.692 0.746
F3 0.680 0.100 0.239
F4 0.698 0.083 0.717
F5 0.900 0.320 0.761
F6 0.917 0.302 0.283
```